Structure and simulated XRD peak list of Cs3RhO3 (a crystal structure in Alexandria, relaxed with GGA-PBE; copper Kα).
Kinematic intensities with the Lorentz-polarization factor, no thermal factor.

Top 10 peaks for 2θ = 10–90°, sorted by position:
3.651 Å, 24.38°, I 100; 3.159 Å, 28.25°, I 40; 3.037 Å, 29.41°, I 45; 2.738 Å, 32.71°, I 67; 2.450 Å, 36.68°, I 24; 2.189 Å, 41.23°, I 16; 1.800 Å, 50.71°, I 24; 1.732 Å, 52.87°, I 28; 1.633 Å, 56.34°, I 20; 1.188 Å, 80.93°, I 18

Atomic structure:
Cell: 6.601 6.601 6.601 Å, 112.00 112.00 112.00°
Fractional positions:
Cs (0.055, 0.473, 0.473)
Cs (0.473, 0.055, 0.473)
Cs (0.473, 0.473, 0.055)
Rh (0.828, 0.828, 0.828)
O (0.628, 0.923, 0.923)
O (0.923, 0.628, 0.923)
O (0.923, 0.923, 0.628)